1.
Starting from a GGA-PBE-relaxed structure, the X-ray powder pattern of Al2Re3B was simulated for a wavelength of 1.5418 Å.
No peak broadening, texture or thermal motion is included.

Structural model:
Cell: 7.587 7.587 7.587 Å, 60.00 60.00 60.00°
Fractional coordinates of all 24 atoms:
Al1 0.132 0.789 0.789
Al2 0.211 0.211 0.211
Al3 0.211 0.211 0.868
Al4 0.211 0.868 0.211
Al5 0.789 0.132 0.789
Al6 0.789 0.789 0.132
Al7 0.789 0.789 0.789
Al8 0.868 0.211 0.211
Re1 0.183 0.183 0.567
Re2 0.183 0.567 0.183
Re3 0.183 0.567 0.567
Re4 0.433 0.433 0.817
Re5 0.433 0.817 0.433
Re6 0.433 0.817 0.817
Re7 0.567 0.183 0.183
Re8 0.567 0.183 0.567
Re9 0.567 0.567 0.183
Re10 0.817 0.433 0.433
Re11 0.817 0.433 0.817
Re12 0.817 0.817 0.433
B1 0.000 0.000 0.000
B2 0.000 0.000 0.500
B3 0.000 0.500 0.000
B4 0.500 0.000 0.000

Principal peaks in the range 5 to 70 degrees two-theta, by intensity:
- d = 2.065 Å, I 100.0
- d = 2.190 Å, I 72.2
- d = 6.195 Å, I 60.7
- d = 2.682 Å, I 57.2
- d = 2.461 Å, I 42.6
- d = 1.502 Å, I 25.0
- d = 1.897 Å, I 20.9
- d = 1.397 Å, I 16.0


2.
Starting from a GGA-PBE-relaxed structure, the X-ray powder pattern of AlSi6TcB was simulated for a wavelength of 1.5418 Å.
No peak broadening, texture or thermal motion is included.

Structural model:
Cell: 5.572 5.572 5.572 Å, 60.00 60.00 60.00°
Fractional coordinates of all 9 atoms:
Al1 0.000 0.000 0.000
Si1 0.515 0.515 0.985
Si2 0.515 0.985 0.515
Si3 0.515 0.985 0.985
Si4 0.985 0.515 0.515
Si5 0.985 0.515 0.985
Si6 0.985 0.985 0.515
Tc1 0.500 0.500 0.500
B1 0.250 0.250 0.250

Principal peaks in the range 5 to 70 degrees two-theta, by intensity:
- d = 2.275 Å, I 100.0
- d = 1.970 Å, I 52.5
- d = 4.550 Å, I 41.0
- d = 1.393 Å, I 32.5
- d = 2.376 Å, I 23.2
- d = 2.786 Å, I 21.2
- d = 3.940 Å, I 13.7
- d = 1.808 Å, I 11.6